# 1
Diffraction record for CaPr4Rh4. The X-ray powder pattern is computed, not measured: it uses a cell relaxed with GGA-PBE and λ = 1.5418 Å (Cu Kα).

Main lines, in order of rising 2θ (2θ = 15–90°):
d [Å]	two_theta	I_rel
2.865	31.22	100
2.763	32.41	49
2.359	38.15	30
2.092	43.24	22
2.026	44.73	33
1.899	47.89	31

Structure:
```
18
Lattice="9.061 0.000 0.000 0.000 9.061 0.000 0.000 0.000 5.801" Properties=species:S:1:pos:R:3 pbc="T T T"
Ca 2.265 2.265 1.450
Ca 6.796 6.796 4.351
Pr 0.582 6.020 0.892
Pr 1.490 8.479 3.793
Pr 3.041 5.112 3.793
Pr 3.949 7.571 0.892
Pr 5.112 1.490 4.909
Pr 6.020 3.949 2.008
Pr 7.571 0.582 2.008
Pr 8.479 3.041 4.909
Rh 0.274 5.657 3.760
Rh 1.127 8.787 0.860
Rh 3.404 4.805 0.860
Rh 4.256 7.934 3.760
Rh 4.805 1.127 2.041
Rh 5.657 4.256 4.942
Rh 7.934 0.274 4.942
Rh 8.787 3.404 2.041
```

=====

# 2
Diffraction record for TlTeRhSe. The X-ray powder pattern is computed, not measured: it uses a cell relaxed with GGA-PBE and λ = 1.5418 Å (Cu Kα).

Main lines, in order of rising 2θ (2θ = 15–90°):
d [Å]	two_theta	I_rel
3.292	27.09	80
2.945	30.35	68
2.747	32.60	100
2.197	41.08	55
1.984	45.72	82
1.565	59.03	51

Structure:
```
4
Lattice="3.438 -1.984 0.000 3.438 1.984 0.000 -2.280 0.000 7.618" Properties=species:S:1:pos:R:3 pbc="T T T"
Tl 0.000 0.000 0.000
Te 2.302 0.000 2.895
Rh 4.594 0.000 4.216
Se 0.008 0.000 5.458
```

=====

# 3
Diffraction record for Mg3As. The X-ray powder pattern is computed, not measured: it uses a cell relaxed with GGA-PBE and λ = 1.5418 Å (Cu Kα).

Main lines, in order of rising 2θ (2θ = 15–90°):
d [Å]	two_theta	I_rel
5.626	15.75	71
3.271	27.27	46
3.012	29.66	100
2.527	35.53	56
2.209	40.86	71
2.067	43.79	31

Structure:
```
8
Lattice="3.980 0.000 0.000 0.000 8.039 0.000 0.000 0.000 5.626" Properties=species:S:1:pos:R:3 pbc="T T T"
Mg 0.995 0.403 1.347
Mg 0.995 2.010 4.461
Mg 0.995 3.617 1.347
Mg 2.985 4.423 4.279
Mg 2.985 6.030 1.165
Mg 2.985 7.637 4.279
As 0.995 6.030 2.977
As 2.985 2.010 2.649
```

=====

# 4
Diffraction record for ZrCrCl. The X-ray powder pattern is computed, not measured: it uses a cell relaxed with GGA-PBE and λ = 1.5418 Å (Cu Kα).

Main lines, in order of rising 2θ (2θ = 15–90°):
d [Å]	two_theta	I_rel
2.611	34.35	100
2.280	39.52	16
2.178	41.46	64
1.774	51.51	12
1.631	56.42	21
1.326	71.07	16

Structure:
```
3
Lattice="3.262 0.000 0.000 -1.631 2.825 0.000 0.000 0.000 6.840" Properties=species:S:1:pos:R:3 pbc="T T T"
Zr 0.000 0.000 0.000
Cr 0.000 1.883 4.720
Cl 1.631 0.942 1.872
```

=====

# 5
Diffraction record for Y2Te2F. The X-ray powder pattern is computed, not measured: it uses a cell relaxed with GGA-PBE and λ = 1.5418 Å (Cu Kα).

Main lines, in order of rising 2θ (2θ = 15–90°):
d [Å]	two_theta	I_rel
4.741	18.72	66
2.900	30.84	82
2.795	32.03	100
2.610	34.35	52
2.580	34.78	35
1.998	45.39	41

Structure:
```
10
Lattice="-1.998 1.998 18.963 1.998 -1.998 18.963 1.998 1.998 -18.963" Properties=species:S:1:pos:R:3 pbc="T T T"
Y 1.998 0.999 -6.099
Y 0.000 0.999 3.383
Y 1.998 0.999 15.580
Y 0.000 0.999 25.061
Te 1.998 0.999 -2.076
Te 0.000 0.999 7.405
Te 1.998 0.999 11.558
Te 0.000 0.999 21.039
F 1.998 -0.999 14.222
F 0.000 2.997 4.741
```

=====

# 6
Diffraction record for Pu3Al8Au3. The X-ray powder pattern is computed, not measured: it uses a cell relaxed with GGA-PBE and λ = 1.5418 Å (Cu Kα).

Main lines, in order of rising 2θ (2θ = 15–90°):
d [Å]	two_theta	I_rel
4.524	19.62	49
3.164	28.20	100
3.125	28.56	55
2.655	33.77	54
2.593	34.59	62
2.520	35.62	60

Structure:
```
14
Lattice="7.962 -2.291 0.000 7.962 2.291 0.000 -5.123 0.000 7.459" Properties=species:S:1:pos:R:3 pbc="T T T"
Pu 0.000 0.000 0.000
Pu 2.975 0.000 2.266
Pu 7.826 0.000 5.193
Al 0.021 0.000 3.162
Al -2.002 0.000 6.436
Al 1.891 0.000 5.307
Al 6.223 0.000 2.471
Al 4.578 0.000 4.988
Al 8.909 0.000 2.152
Al 12.802 0.000 1.023
Al 10.779 0.000 4.297
Au -2.561 0.000 3.729
Au 0.479 0.000 7.445
Au 10.321 0.000 0.013
```

=====

# 7
Diffraction record for ZnAu5. The X-ray powder pattern is computed, not measured: it uses a cell relaxed with GGA-PBE and λ = 1.5418 Å (Cu Kα).

Main lines, in order of rising 2θ (2θ = 15–90°):
d [Å]	two_theta	I_rel
2.375	37.88	100
2.102	43.03	36
1.975	45.95	12
1.486	62.49	12
1.439	64.77	18
1.260	75.45	29

Structure:
```
6
Lattice="2.973 0.000 0.000 0.000 2.973 0.000 0.000 0.000 11.851" Properties=species:S:1:pos:R:3 pbc="T T T"
Zn 0.000 0.000 0.000
Au 0.000 0.000 3.870
Au 0.000 0.000 7.981
Au 1.486 1.486 1.769
Au 1.486 1.486 5.925
Au 1.486 1.486 10.082
```

=====

# 8
Diffraction record for LiZn2Cu. The X-ray powder pattern is computed, not measured: it uses a cell relaxed with GGA-PBE and λ = 1.5418 Å (Cu Kα).

Main lines, in order of rising 2θ (2θ = 15–90°):
d [Å]	two_theta	I_rel
4.453	19.94	21
2.226	40.52	34
2.191	41.21	100
1.905	47.75	64
1.355	69.35	19
1.147	84.43	21

Structure:
```
4
Lattice="1.339 0.773 8.906 -1.339 0.773 8.906 0.000 -1.546 8.906" Properties=species:S:1:pos:R:3 pbc="T T T"
Li 0.000 0.000 0.000
Zn 0.000 0.000 6.612
Zn 0.000 0.000 20.105
Cu 0.000 0.000 13.358
```

=====

# 9
Diffraction record for La7NdSm3. The X-ray powder pattern is computed, not measured: it uses a cell relaxed with GGA-PBE and λ = 1.5418 Å (Cu Kα).

Main lines, in order of rising 2θ (2θ = 15–90°):
d [Å]	two_theta	I_rel
2.993	29.86	100
2.920	30.61	30
2.576	34.83	65
1.838	49.59	24
1.805	50.58	22
1.556	59.41	27

Structure:
```
11
Lattice="6.366 -3.678 0.000 6.366 3.678 0.000 -0.015 0.000 8.761" Properties=species:S:1:pos:R:3 pbc="T T T"
La 0.000 0.000 0.000
La 9.577 -1.820 0.007
La 5.299 1.857 5.665
La 6.366 0.000 8.570
La 9.577 1.820 0.007
La 5.299 -1.857 5.665
La 8.507 0.000 5.672
Nd 2.128 0.000 5.841
Sm 4.255 0.000 2.834
Sm 7.437 1.838 2.834
Sm 7.437 -1.838 2.834
```

=====

# 10
Diffraction record for Tb3Zn2Ga7. The X-ray powder pattern is computed, not measured: it uses a cell relaxed with GGA-PBE and λ = 1.5418 Å (Cu Kα).

Main lines, in order of rising 2θ (2θ = 15–90°):
d [Å]	two_theta	I_rel
2.623	34.18	26
2.596	34.56	100
2.347	38.35	20
2.095	43.19	53
1.481	62.72	17
1.286	73.66	16

Structure:
```
12
Lattice="4.192 0.000 0.000 0.000 4.187 0.000 -2.063 0.000 13.463" Properties=species:S:1:pos:R:3 pbc="T T T"
Tb 0.000 0.000 0.000
Tb 0.020 2.093 8.487
Tb 2.109 2.093 4.976
Zn 0.002 0.000 3.688
Zn 2.126 0.000 9.775
Ga 0.002 2.093 2.237
Ga 0.015 0.000 6.105
Ga 0.031 0.000 11.235
Ga 2.096 2.093 0.000
Ga 2.098 0.000 2.227
Ga 2.114 0.000 7.357
Ga 2.127 2.093 11.225
```

=====

# 11
Diffraction record for CdBiPbAu. The X-ray powder pattern is computed, not measured: it uses a cell relaxed with GGA-PBE and λ = 1.5418 Å (Cu Kα).

Main lines, in order of rising 2θ (2θ = 15–90°):
d [Å]	two_theta	I_rel
4.044	21.98	31
2.953	30.27	36
2.610	34.36	100
2.406	37.38	88
1.769	51.67	32
1.425	65.49	32

Structure:
```
4
Lattice="2.406 1.389 5.581 -2.406 1.389 5.581 0.000 -2.778 5.581" Properties=species:S:1:pos:R:3 pbc="T T T"
Cd 0.000 0.000 0.000
Bi 0.000 0.000 3.532
Pb 0.000 0.000 7.179
Au 0.000 0.000 10.399
```

=====

# 12
Diffraction record for Tb3Pm2Tm9. The X-ray powder pattern is computed, not measured: it uses a cell relaxed with GGA-PBE and λ = 1.5418 Å (Cu Kα).

Main lines, in order of rising 2θ (2θ = 15–90°):
d [Å]	two_theta	I_rel
2.949	30.31	72
2.798	31.99	43
2.739	32.70	100
2.632	34.07	100
1.788	51.08	19
1.529	60.56	19

Structure:
```
14
Lattice="3.576 0.000 0.000 -1.787 8.888 0.000 -0.017 -4.249 13.989" Properties=species:S:1:pos:R:3 pbc="T T T"
Tb 0.000 0.000 0.000
Tb 0.003 3.823 3.232
Tb 1.794 -0.567 8.960
Pm 0.006 2.539 8.573
Pm 1.805 5.322 9.802
Tm 0.006 -0.154 6.027
Tm -0.008 -0.794 11.869
Tm 0.005 5.838 0.490
Tm 0.013 5.677 6.528
Tm 1.789 0.671 3.074
Tm 1.793 2.870 0.630
Tm 1.795 2.756 5.743
Tm 1.782 2.078 11.573
Tm 1.792 6.670 3.400
```

=====

What did the sixth record say?
Diffraction record for Pu3Al8Au3. The X-ray powder pattern is computed, not measured: it uses a cell relaxed with GGA-PBE and λ = 1.5418 Å (Cu Kα).

Main lines, in order of rising 2θ (2θ = 15–90°):
d [Å]	two_theta	I_rel
4.524	19.62	49
3.164	28.20	100
3.125	28.56	55
2.655	33.77	54
2.593	34.59	62
2.520	35.62	60

Structure:
```
14
Lattice="7.962 -2.291 0.000 7.962 2.291 0.000 -5.123 0.000 7.459" Properties=species:S:1:pos:R:3 pbc="T T T"
Pu 0.000 0.000 0.000
Pu 2.975 0.000 2.266
Pu 7.826 0.000 5.193
Al 0.021 0.000 3.162
Al -2.002 0.000 6.436
Al 1.891 0.000 5.307
Al 6.223 0.000 2.471
Al 4.578 0.000 4.988
Al 8.909 0.000 2.152
Al 12.802 0.000 1.023
Al 10.779 0.000 4.297
Au -2.561 0.000 3.729
Au 0.479 0.000 7.445
Au 10.321 0.000 0.013
```